No. 1
Theoretical powder diffraction line list
Compound: Nd3AlNi8
Radiation: Cu Kα (weighted mean of Kα1 and Kα2)
Structure: DFT lattice parameters and positions (GGA-PBE)
Kinematic intensities with the Lorentz-polarization factor, no thermal factor.

The 12 most intense peaks (10° ≤ 2θ ≤ 90°), low angle first:
d = 2.622 Å, rel. 91
d = 2.573 Å, rel. 57
d = 2.228 Å, rel. 22
d = 2.208 Å, rel. 50
d = 2.172 Å, rel. 100
d = 2.060 Å, rel. 34
d = 1.495 Å, rel. 31
d = 1.401 Å, rel. 18
d = 1.395 Å, rel. 23
d = 1.372 Å, rel. 19
d = 1.286 Å, rel. 27
d = 1.155 Å, rel. 18

Structure:
Cell lengths 5.1460, 5.1460, 16.2169 Å; angles 90.00, 90.00, 120.00 degrees
Fractional positions:
Nd (0.3333, 0.6667, 0.0452)
Nd (0.3333, 0.6667, 0.2500)
Nd (0.3333, 0.6667, 0.4548)
Nd (0.6667, 0.3333, 0.5452)
Nd (0.6667, 0.3333, 0.7500)
Nd (0.6667, 0.3333, 0.9548)
Al (0.0000, 0.0000, 0.0000)
Al (0.0000, 0.0000, 0.5000)
Ni (0.0000, 0.0000, 0.2500)
Ni (0.0000, 0.0000, 0.7500)
Ni (0.1680, 0.3359, 0.6268)
Ni (0.1680, 0.3359, 0.8732)
Ni (0.1680, 0.8320, 0.6268)
Ni (0.1680, 0.8320, 0.8732)
Ni (0.3333, 0.6667, 0.7500)
Ni (0.3359, 0.1680, 0.1268)
Ni (0.3359, 0.1680, 0.3732)
Ni (0.6641, 0.8320, 0.6268)
Ni (0.6641, 0.8320, 0.8732)
Ni (0.6667, 0.3333, 0.2500)
Ni (0.8320, 0.1680, 0.1268)
Ni (0.8320, 0.1680, 0.3732)
Ni (0.8320, 0.6641, 0.1268)
Ni (0.8320, 0.6641, 0.3732)

No. 2
Theoretical powder diffraction line list
Compound: LiPrSn
Radiation: Cu Kα (weighted mean of Kα1 and Kα2)
Structure: DFT lattice parameters and positions (GGA-PBE)
Kinematic intensities with the Lorentz-polarization factor, no thermal factor.

The 12 most intense peaks (10° ≤ 2θ ≤ 90°), low angle first:
d = 4.142 Å, rel. 20
d = 3.650 Å, rel. 47
d = 2.825 Å, rel. 100
d = 2.391 Å, rel. 55
d = 2.187 Å, rel. 12
d = 2.000 Å, rel. 9
d = 1.825 Å, rel. 28
d = 1.502 Å, rel. 25
d = 1.451 Å, rel. 27
d = 1.381 Å, rel. 10
d = 1.123 Å, rel. 10
d = 1.101 Å, rel. 12

Structure:
Cell lengths 4.7823, 4.7823, 7.7256 Å; angles 90.00, 90.00, 120.00 degrees
Fractional positions:
Li (0.3333, 0.6667, 0.0000)
Li (0.6667, 0.3333, 0.5000)
Pr (0.0000, 0.0000, 0.2213)
Pr (0.0000, 0.0000, 0.7213)
Sn (0.3333, 0.6667, 0.4550)
Sn (0.6667, 0.3333, 0.9550)

No. 3
Theoretical powder diffraction line list
Compound: Dy2Te5
Radiation: Cu Kα (weighted mean of Kα1 and Kα2)
Structure: DFT lattice parameters and positions (GGA-PBE)
Kinematic intensities with the Lorentz-polarization factor, no thermal factor.

The 12 most intense peaks (10° ≤ 2θ ≤ 90°), low angle first:
d = 3.150 Å, rel. 34
d = 3.086 Å, rel. 22
d = 2.919 Å, rel. 100
d = 2.616 Å, rel. 53
d = 2.556 Å, rel. 18
d = 2.449 Å, rel. 26
d = 2.440 Å, rel. 19
d = 2.188 Å, rel. 59
d = 1.797 Å, rel. 27
d = 1.547 Å, rel. 20
d = 1.367 Å, rel. 19
d = 1.331 Å, rel. 13

Structure:
Cell lengths 22.1554, 22.1554, 4.3762 Å; angles 90.00, 90.00, 168.67 degrees
Fractional positions:
Dy (0.1009, 0.8991, 0.7500)
Dy (0.3060, 0.6940, 0.7500)
Dy (0.6940, 0.3060, 0.2500)
Dy (0.8991, 0.1009, 0.2500)
Te (0.0450, 0.9550, 0.2500)
Te (0.1740, 0.8260, 0.7500)
Te (0.2500, 0.7500, 0.2500)
Te (0.3775, 0.6225, 0.7500)
Te (0.4550, 0.5450, 0.2500)
Te (0.5450, 0.4550, 0.7500)
Te (0.6225, 0.3775, 0.2500)
Te (0.7500, 0.2500, 0.7500)
Te (0.8260, 0.1740, 0.2500)
Te (0.9550, 0.0450, 0.7500)

No. 4
Theoretical powder diffraction line list
Compound: GdHoTlAg2
Radiation: Cu Kα (weighted mean of Kα1 and Kα2)
Structure: DFT lattice parameters and positions (GGA-PBE)
Kinematic intensities with the Lorentz-polarization factor, no thermal factor.

The 12 most intense peaks (10° ≤ 2θ ≤ 90°), low angle first:
d = 3.368 Å, rel. 17
d = 2.744 Å, rel. 100
d = 2.553 Å, rel. 55
d = 2.495 Å, rel. 69
d = 2.432 Å, rel. 11
d = 2.297 Å, rel. 33
d = 1.758 Å, rel. 15
d = 1.708 Å, rel. 33
d = 1.437 Å, rel. 24
d = 1.421 Å, rel. 14
d = 1.397 Å, rel. 26
d = 1.361 Å, rel. 10

Structure:
Cell lengths 3.5163, 4.5941, 14.8551 Å; angles 90.00, 90.00, 90.00 degrees
Fractional positions:
Gd (0.0000, 0.0000, 0.0000)
Gd (0.0000, 0.5000, 0.5000)
Ho (0.0000, 0.0000, 0.2437)
Ho (0.0000, 0.5000, 0.7437)
Tl (0.5000, 0.0000, 0.6217)
Tl (0.5000, 0.5000, 0.1217)
Ag (0.5000, 0.0000, 0.4216)
Ag (0.5000, 0.0000, 0.8187)
Ag (0.5000, 0.5000, 0.3187)
Ag (0.5000, 0.5000, 0.9216)